Starting from a DFT-relaxed cell (PBE, Alexandria), the XRD peak list of Li3TiBi was calculated for Cu Kα X-rays.

Atomic structure:
a b c (Å): 4.9913 4.9913 4.9913
angles (deg): 90.00 90.00 90.00
Space group Pm-3m (No. 221)
Inequivalent atoms, fractional coordinates:
Li (0.0000, 0.0000, 0.5000)
Ti (0.5000, 0.5000, 0.5000)
Bi (0.0000, 0.0000, 0.0000)

Most intense lines, 5° ≤ 2θ ≤ 70°, in order of rising 2θ:
- 2θ = 17.8°, d = 4.991 Å, I 47
- 2θ = 25.2°, d = 3.529 Å, I 100
- 2θ = 31.0°, d = 2.882 Å, I 13
- 2θ = 36.0°, d = 2.496 Å, I 24
- 2θ = 40.4°, d = 2.232 Å, I 26
- 2θ = 44.5°, d = 2.038 Å, I 45
- 2θ = 51.8°, d = 1.765 Å, I 17
- 2θ = 55.2°, d = 1.664 Å, I 14
- 2θ = 58.5°, d = 1.578 Å, I 20
- 2θ = 61.6°, d = 1.505 Å, I 6